# 1
This entry pairs a crystal structure of CrNiRh2 with its theoretical powder X-ray diffraction pattern. Radiation: Cu Kα (weighted mean of Kα1 and Kα2). Structure: DFT lattice parameters and positions (GGA-PBE).
Intensities are scaled so that the largest is 100.

abc: 4.4676 4.4676 2.7342
angles: 90.00 90.00 106.36
Positions (direct):
Cr 0.0000 0.0000 0.0000
Ni 0.5000 0.5000 0.0000
Rh 0.0000 0.5000 0.5000
Rh 0.5000 0.0000 0.5000

The 12 most intense peaks (10 to 80 degrees two-theta), low angle first:
two_theta  I_rel
24.90  15
32.75  8
33.47  7
41.58  100
42.16  96
47.53  67
51.08  27
54.39  8
62.01  3
68.65  11
70.32  10
72.33  36



# 2
This entry pairs a crystal structure of Nd6Tm8In with its theoretical powder X-ray diffraction pattern. Radiation: Cu Kα (weighted mean of Kα1 and Kα2). Structure: DFT lattice parameters and positions (GGA-PBE).
Intensities are scaled so that the largest is 100.

abc: 9.4351 9.4351 6.3218
angles: 90.00 90.00 120.00
Positions (direct):
Nd 0.0886 0.6388 0.1874
Nd 0.3612 0.4498 0.1874
Nd 0.4498 0.0886 0.8126
Nd 0.5502 0.9114 0.1874
Nd 0.6388 0.5502 0.8126
Nd 0.9114 0.3612 0.8126
Tm 0.0390 0.7765 0.6888
Tm 0.2235 0.2625 0.6888
Tm 0.2625 0.0390 0.3112
Tm 0.3333 0.6667 0.6766
Tm 0.6667 0.3333 0.3234
Tm 0.7375 0.9610 0.6888
Tm 0.7765 0.7375 0.3112
Tm 0.9610 0.2235 0.3112
In 0.0000 0.0000 0.0000

The 12 most intense peaks (10 to 80 degrees two-theta), low angle first:
two_theta  I_rel
25.97  12
28.23  16
28.91  21
30.32  10
32.26  100
34.14  18
40.85  14
50.80  8
51.23  18
52.58  8
59.54  12
61.87  19